Calculated powder XRD pattern of NdDy3Er6 for Cu Kα (weighted mean of Kα1 and Kα2), from the PBE geometry in Alexandria.
No peak broadening, texture or thermal motion is included.

Main lines, in order of rising 2θ (2θ = 10–90°):
2θ 28.3, I = 277; 2θ 28.9, I = 807; 2θ 29.0, I = 226; 2θ 30.5, I = 396; 2θ 31.8, I = 868; 2θ 32.0, I = 1000; 2θ 33.4, I = 266; 2θ 34.8, I = 517; 2θ 36.1, I = 230; 2θ 59.7, I = 212

Crystal structure
```
20
Lattice="5.4799 -9.4173 0.0000 5.4799 9.4173 0.0000 0.0000 0.0000 6.1588" Properties=species:S:1:pos:R:3 pbc="T T T"
Nd 5.4799 5.4955 3.0794
Nd 5.4799 -5.4955 0.0000
Dy 1.9083 2.0403 4.3162
Dy 1.9083 -2.0403 1.2368
Dy 5.4799 2.0509 3.6152
Dy 5.4799 -2.0509 0.5358
Dy 9.0516 2.0403 4.3162
Dy 9.0516 -2.0403 1.2368
Er 2.6977 3.9718 1.8108
Er 5.4799 8.5240 4.5730
Er 5.4799 4.0097 0.1126
Er 3.6702 0.8905 0.8035
Er 3.6702 -0.8905 3.8829
Er 2.6977 -3.9718 4.8902
Er 8.2622 3.9718 1.8108
Er 7.2897 0.8905 0.8035
Er 7.2897 -0.8905 3.8829
Er 5.4799 -4.0097 3.1920
Er 5.4799 -8.5240 1.4936
Er 8.2622 -3.9718 4.8902
```